Structure and simulated powder XRD pattern of CrCd2SnO6 (DFT lattice parameters and positions (PBE+U); Cu Ka).

```
CrCd2SnO6
1.0
5.356 0.000 0.000
0.000 5.356 0.000
0.000 0.000 4.863
Cr Cd Sn O
1 2 1 6
Direct
0.000 0.000 0.000
0.000 0.500 0.405
0.500 0.000 0.405
0.500 0.500 0.986
0.000 0.000 0.644
0.242 0.242 0.122
0.242 0.758 0.122
0.500 0.500 0.579
0.758 0.242 0.122
0.758 0.758 0.122
```

Most intense lines, 10 to 90 degrees two-theta, low angle first:
d (Å), I (rel.), hkl
4.863, 129, 0 0 1
2.988, 1000, 1 1 1
2.678, 363, 2 0 0
2.432, 90, 0 0 2
2.046, 136, 1 1 2
1.894, 227, 2 2 0
1.800, 219, 2 0 2
1.600, 304, 3 1 1
1.494, 80, 2 2 2
1.490, 77, 1 1 3